Pr7SmHo4: computed powder X-ray diffraction pattern (Cu Kα (weighted mean of Kα1 and Kα2)), based on a PBE-relaxed structure.
Peak positions follow from Bragg's law for the DFT cell and can differ from measured ones.

Structure:
a = 6.370 Å, b = 7.347 Å, c = 9.053 Å
α = 89.97°, β = 76.49°, γ = 89.96°
Fractional coordinates of all 12 atoms:
Pr: 0.000 0.000 0.000
Pr: 0.222 0.500 0.334
Pr: 0.280 0.752 0.665
Pr: 0.500 0.247 0.997
Pr: 0.500 0.753 0.003
Pr: 0.720 0.248 0.335
Pr: 0.778 0.500 0.666
Sm: 0.000 0.500 0.000
Ho: 0.219 0.000 0.336
Ho: 0.277 0.245 0.667
Ho: 0.723 0.755 0.333
Ho: 0.781 0.000 0.664

Most intense lines, 10 to 90 degrees two-theta, low angle first:
- 28.24°, d = 3.160 Å, intensity 36.1
- 30.47°, d = 2.934 Å, intensity 50.8
- 31.20°, d = 2.867 Å, intensity 100.0
- 32.85°, d = 2.726 Å, intensity 89.9
- 49.61°, d = 1.838 Å, intensity 39.3
- 53.52°, d = 1.712 Å, intensity 21.2
- 56.73°, d = 1.623 Å, intensity 19.4
- 59.34°, d = 1.557 Å, intensity 45.8